Diffraction record for LaAl2Zn2. The X-ray diffraction stick pattern is simulated, not measured: it uses a structure optimized by DFT (GGA-PBE) and CuKα.
Kinematic intensities with the Lorentz-polarization factor, no thermal factor.

Lattice parameters (Å, degrees): 4.2611 4.2611 11.0621 90.00 90.00 90.00
Fractional positions:
La1 0.0000 0.0000 0.0000
La2 0.5000 0.5000 0.5000
Al1 0.0000 0.5000 0.2500
Al2 0.0000 0.5000 0.7500
Al3 0.5000 0.0000 0.2500
Al4 0.5000 0.0000 0.7500
Zn1 0.0000 0.0000 0.3868
Zn2 0.0000 0.0000 0.6132
Zn3 0.5000 0.5000 0.1132
Zn4 0.5000 0.5000 0.8868

Most intense lines, 2θ from 10° to 90°, most intense first:
32.10 deg, I 100
33.88 deg, I 86
29.65 deg, I 69
46.24 deg, I 56
42.43 deg, I 56
54.18 deg, I 44
64.54 deg, I 40
16.02 deg, I 30
72.15 deg, I 18
61.56 deg, I 18
83.31 deg, I 13
86.47 deg, I 11

Diffraction record for CeTl. The X-ray diffraction stick pattern is simulated, not measured: it uses a structure optimized by DFT (GGA-PBE) and CuKα.
Kinematic intensities with the Lorentz-polarization factor, no thermal factor.

Lattice parameters (Å, degrees): 3.8864 3.8864 3.8864 90.00 90.00 90.00
Fractional positions:
Ce1 0.0000 0.0000 0.0000
Tl1 0.5000 0.5000 0.5000

Most intense lines, 2θ from 10° to 90°, most intense first:
32.58 deg, I 100
58.14 deg, I 39
46.75 deg, I 18
77.70 deg, I 17
68.26 deg, I 12
86.81 deg, I 4
22.88 deg, I 4
52.66 deg, I 2
40.19 deg, I 1
73.04 deg, I 1
82.28 deg, I 1

Diffraction record for Rb3LiPb4. The X-ray diffraction stick pattern is simulated, not measured: it uses a structure optimized by DFT (GGA-PBE) and CuKα.
Kinematic intensities with the Lorentz-polarization factor, no thermal factor.

Lattice parameters (Å, degrees): 9.2316 9.2316 10.6014 90.00 90.00 131.86
Fractional positions:
Rb1 0.1107 0.8893 0.5491
Rb2 0.1107 0.8893 0.9509
Rb3 0.2693 0.7307 0.2500
Rb4 0.7307 0.2693 0.7500
Rb5 0.8893 0.1107 0.0491
Rb6 0.8893 0.1107 0.4509
Li1 0.5000 0.5000 0.0000
Li2 0.5000 0.5000 0.5000
Pb1 0.2487 0.3299 0.7500
Pb2 0.3279 0.6721 0.6031
Pb3 0.3279 0.6721 0.8969
Pb4 0.3299 0.2487 0.2500
Pb5 0.6701 0.7513 0.7500
Pb6 0.6721 0.3279 0.1031
Pb7 0.6721 0.3279 0.3969
Pb8 0.7513 0.6701 0.2500

Most intense lines, 2θ from 10° to 90°, most intense first:
13.42 deg, I 100
29.05 deg, I 85
33.00 deg, I 82
28.40 deg, I 79
25.92 deg, I 75
33.08 deg, I 70
19.75 deg, I 65
15.36 deg, I 49
27.03 deg, I 40
31.00 deg, I 36
44.60 deg, I 33
47.90 deg, I 30

Diffraction record for NdBr2Cl. The X-ray diffraction stick pattern is simulated, not measured: it uses a structure optimized by DFT (GGA-PBE) and CuKα.
Kinematic intensities with the Lorentz-polarization factor, no thermal factor.

Lattice parameters (Å, degrees): 7.8362 4.3047 7.9985 90.00 119.00 90.00
Fractional positions:
Nd1 0.0000 0.0000 0.0000
Nd2 0.3374 0.5000 0.6712
Br1 0.2909 0.5000 0.0373
Br2 0.3677 0.0000 0.4178
Br3 0.7641 0.5000 0.7165
Br4 0.9560 0.5000 0.2452
Cl1 0.0826 0.0000 0.6523
Cl2 0.5780 0.0000 0.9201

Most intense lines, 2θ from 10° to 90°, most intense first:
12.95 deg, I 100
33.00 deg, I 57
33.53 deg, I 56
30.47 deg, I 54
33.42 deg, I 41
41.98 deg, I 35
40.93 deg, I 33
24.45 deg, I 30
12.65 deg, I 28
30.86 deg, I 26
40.18 deg, I 23
40.33 deg, I 22